Diffraction record for Tm2InNi2. The powder X-ray diffraction pattern is computed, not measured: it uses the PBE geometry in the Materials Project and Cu Kα, 1.54184 Å.
Kinematic intensities with the Lorentz-polarization factor, no thermal factor.

Atomic structure:
```
Tm2InNi2
1.0
1.9820 -7.0071 0.0000
1.9820 7.0071 0.0000
0.0000 0.0000 3.5402
Tm In Ni
2 1 2
Direct
0.1399 0.8601 0.0000
0.8601 0.1399 0.0000
0.5000 0.5000 0.5000
0.3021 0.6979 0.5000
0.6979 0.3021 0.5000
```

Main lines, by intensity (15 to 90 degrees two-theta):
| 2θ/deg | I_rel |
| --- | --- |
| 34.57 | 100.0 |
| 36.07 | 68.6 |
| 29.55 | 49.1 |
| 39.19 | 41.5 |
| 59.62 | 31.6 |
| 39.37 | 31.0 |
| 45.78 | 27.6 |
| 57.79 | 20.6 |
| 51.64 | 19.3 |
| 38.54 | 15.9 |


Diffraction record for Tm5In4Ni2. The powder X-ray diffraction pattern is computed, not measured: it uses the PBE geometry in the Materials Project and Cu Kα, 1.54184 Å.
Kinematic intensities with the Lorentz-polarization factor, no thermal factor.

Atomic structure:
```
Tm5In4Ni2
1.0
7.9775 0.0000 0.0000
0.0000 17.8258 0.0000
0.0000 0.0000 3.5205
Tm In Ni
10 8 4
Direct
0.0000 0.0000 0.0000
0.1178 0.4126 0.0000
0.2457 0.2214 0.0000
0.2543 0.7214 0.0000
0.3822 0.9126 0.0000
0.5000 0.5000 0.0000
0.6178 0.0874 0.0000
0.7457 0.2786 0.0000
0.7543 0.7786 0.0000
0.8822 0.5874 0.0000
0.0732 0.8481 0.5000
0.2058 0.5696 0.5000
0.2942 0.0696 0.5000
0.4268 0.3481 0.5000
0.5732 0.6519 0.5000
0.7058 0.9304 0.5000
0.7942 0.4304 0.5000
0.9268 0.1519 0.5000
0.0246 0.3046 0.5000
0.4754 0.8046 0.5000
0.5246 0.1954 0.5000
0.9754 0.6954 0.5000
```

Main lines, by intensity (15 to 90 degrees two-theta):
| 2θ/deg | I_rel |
| --- | --- |
| 34.35 | 100.0 |
| 35.47 | 84.9 |
| 35.22 | 39.3 |
| 37.06 | 35.4 |
| 37.28 | 32.7 |
| 64.32 | 30.6 |
| 37.64 | 28.5 |
| 37.76 | 25.5 |
| 51.95 | 24.9 |
| 32.15 | 21.5 |


Copy entry 1 word for word.
Diffraction record for Tm2InNi2. The powder X-ray diffraction pattern is computed, not measured: it uses the PBE geometry in the Materials Project and Cu Kα, 1.54184 Å.
Kinematic intensities with the Lorentz-polarization factor, no thermal factor.

Atomic structure:
```
Tm2InNi2
1.0
1.9820 -7.0071 0.0000
1.9820 7.0071 0.0000
0.0000 0.0000 3.5402
Tm In Ni
2 1 2
Direct
0.1399 0.8601 0.0000
0.8601 0.1399 0.0000
0.5000 0.5000 0.5000
0.3021 0.6979 0.5000
0.6979 0.3021 0.5000
```

Main lines, by intensity (15 to 90 degrees two-theta):
| 2θ/deg | I_rel |
| --- | --- |
| 34.57 | 100.0 |
| 36.07 | 68.6 |
| 29.55 | 49.1 |
| 39.19 | 41.5 |
| 59.62 | 31.6 |
| 39.37 | 31.0 |
| 45.78 | 27.6 |
| 57.79 | 20.6 |
| 51.64 | 19.3 |
| 38.54 | 15.9 |